Starting from a PBE+U-relaxed structure, the powder diffractogram of Li4V5Fe3O16 was calculated for copper Kα.

Main lines, by angle (2θ from 10° to 80°):
2theta, I_rel
18.59, 100
19.50, 88
19.76, 50
32.95, 30
35.38, 29
35.91, 29
36.26, 28
39.68, 36
45.17, 53
60.07, 37

Cell and atoms:
Cell: 5.901 5.952 9.546 Å, 89.39 89.19 60.56°
Element x y z (fractional)
Li  0.000  0.000  0.000
Li  0.006  0.992  0.500
Li  0.326  0.323  0.897
Li  0.657  0.661  0.402
V  0.167  0.650  0.215
V  0.170  0.172  0.225
V  0.332  0.327  0.495
V  0.346  0.815  0.726
V  0.666  0.660  0.996
Fe  0.665  0.160  0.218
Fe  0.828  0.333  0.717
Fe  0.830  0.826  0.716
O  0.007  0.000  0.311
O  0.013  0.989  0.811
O  0.034  0.467  0.349
O  0.171  0.659  0.603
O  0.175  0.167  0.600
O  0.331  0.308  0.108
O  0.348  0.816  0.100
O  0.472  0.033  0.349
O  0.472  0.469  0.351
O  0.509  0.519  0.849
O  0.514  0.951  0.848
O  0.645  0.672  0.610
O  0.668  0.163  0.602
O  0.838  0.327  0.101
O  0.840  0.822  0.103
O  0.947  0.518  0.852



Starting from a PBE+U-relaxed structure, the powder diffractogram of Sr3Fe2O4F4 was calculated for copper Kα.

Main lines, by angle (2θ from 10° to 80°):
2theta, I_rel
29.96, 100
31.90, 77
35.84, 35
40.06, 52
45.74, 59
48.29, 20
55.64, 35
59.04, 20
66.68, 17
68.69, 25

Cell and atoms:
Cell: 11.652 11.652 11.652 Å, 160.40 160.40 27.86°
Element x y z (fractional)
Sr  0.000  0.000  0.000
Sr  0.172  0.172  0.000
Sr  0.828  0.828  0.000
Fe  0.409  0.409  0.000
Fe  0.591  0.591  0.000
O  0.092  0.592  0.500
O  0.408  0.908  0.500
O  0.587  0.087  0.500
O  0.913  0.413  0.500
F  0.320  0.320  0.000
F  0.500  0.500  0.000
F  0.680  0.680  0.000
F  0.750  0.250  0.500



Starting from a PBE+U-relaxed structure, the powder diffractogram of MgFe6O10F2 was calculated for copper Kα.

Main lines, by angle (2θ from 10° to 80°):
2theta, I_rel
22.98, 100
28.02, 85
35.06, 22
35.18, 21
35.53, 48
35.75, 25
38.27, 31
55.25, 18
57.93, 17
62.74, 17

Cell and atoms:
Cell: 5.150 5.727 7.654 Å, 81.85 82.81 80.62°
Element x y z (fractional)
Mg  0.000  0.000  0.000
Fe  0.088  0.389  0.193
Fe  0.508  0.499  0.488
Fe  0.509  0.155  0.823
Fe  0.513  0.832  0.178
Fe  0.932  0.962  0.475
Fe  0.974  0.608  0.809
O  0.150  0.024  0.240
O  0.165  0.313  0.925
O  0.179  0.684  0.585
O  0.363  0.536  0.256
O  0.397  0.214  0.602
O  0.623  0.124  0.048
O  0.666  0.791  0.405
O  0.837  0.312  0.405
O  0.839  0.963  0.744
O  0.874  0.665  0.061
F  0.351  0.840  0.918
F  0.675  0.475  0.745